[1]
This entry pairs a crystal structure of Pm5ZnPb2 with its calculated powder X-ray diffraction pattern. Radiation: a wavelength of 1.5418 Å. Structure: a PBE-relaxed structure.
Intensities are scaled so that the largest is 1000.

Atomic structure:
```
data_Pm5ZnPb2
_chemical_formula_sum 'Pm15 Zn3 Pb6'
_space_group_name_H-M_alt 'R -3 m'
_space_group_IT_number 166
_space_group_name_Hall '-R 3 2"'
_cell_length_a 5.3442
_cell_length_b 5.3442
_cell_length_c 29.0301
_cell_angle_alpha 90.00
_cell_angle_beta 90.00
_cell_angle_gamma 120.00
loop_
_atom_site_label
_atom_site_fract_x
_atom_site_fract_y
_atom_site_fract_z
Pm1 0.0000 0.0000 0.0000
Pm2 0.0000 0.0000 0.1306
Pm3 0.0000 0.0000 0.2606
Zn1 0.0000 0.0000 0.5000
Pb1 0.0000 0.0000 0.3862
```

Principal peaks in the range 5° ≤ 2θ ≤ 70°, low angle first:
9.14 deg, I = 66, hkl 0 0 3; 28.91 deg, I = 117, hkl 1 0 7; 31.32 deg, I = 980, hkl 0 1 8; 33.54 deg, I = 1000, hkl 1 1 0; 44.00 deg, I = 85, hkl 1 1 9; 46.55 deg, I = 330, hkl 2 0 8; 54.31 deg, I = 106, hkl 1 0 16; 58.58 deg, I = 333, hkl 1 2 8; 58.92 deg, I = 140, hkl 1 1 15; 59.96 deg, I = 194, hkl 3 0 0

***

[2]
This entry pairs a crystal structure of Pr5Pb with its calculated powder X-ray diffraction pattern. Radiation: a wavelength of 1.5418 Å. Structure: a PBE-relaxed structure.
Intensities are scaled so that the largest is 1000.

Atomic structure:
```
data_Pr5Pb
_chemical_formula_sum 'Pr10 Pb2'
_space_group_name_H-M_alt 'C m m m'
_space_group_IT_number 65
_space_group_name_Hall '-C 2 2'
_cell_length_a 5.0281
_cell_length_b 15.9212
_cell_length_c 5.0533
_cell_angle_alpha 90.00
_cell_angle_beta 90.00
_cell_angle_gamma 90.00
loop_
_atom_site_label
_atom_site_fract_x
_atom_site_fract_y
_atom_site_fract_z
Pr1 0.0000 0.0000 0.0000
Pr2 0.0000 0.1620 0.5000
Pr3 0.0000 0.3375 0.0000
Pb1 0.0000 0.5000 0.5000
```

Principal peaks in the range 5° ≤ 2θ ≤ 70°, low angle first:
30.20 deg, I = 1000, hkl 1 3 1; 33.78 deg, I = 184, hkl 0 6 0; 35.53 deg, I = 163, hkl 0 0 2; 35.71 deg, I = 161, hkl 2 0 0; 49.83 deg, I = 123, hkl 0 6 2; 49.97 deg, I = 122, hkl 2 6 0; 58.22 deg, I = 152, hkl 1 9 1; 60.54 deg, I = 140, hkl 1 3 3; 60.78 deg, I = 138, hkl 3 3 1; 62.81 deg, I = 123, hkl 2 6 2

***

[3]
This entry pairs a crystal structure of Pr5Pb4 with its calculated powder X-ray diffraction pattern. Radiation: a wavelength of 1.5418 Å. Structure: a PBE-relaxed structure.
Intensities are scaled so that the largest is 1000.

Atomic structure:
```
data_Pr5Pb4
_chemical_formula_sum 'Pr20 Pb16'
_space_group_name_H-M_alt 'P n m a'
_space_group_IT_number 62
_cell_length_a 8.5163
_cell_length_b 16.2598
_cell_length_c 8.6415
_cell_angle_alpha 90.00
_cell_angle_beta 90.00
_cell_angle_gamma 90.00
loop_
_space_group_symop_operation_xyz
'x,y,z'
'-x,-y,-z'
'-x+1/2,-y,z+1/2'
'x+1/2,y,-z+1/2'
'x+1/2,-y+1/2,-z+1/2'
'-x+1/2,y+1/2,z+1/2'
'-x,y+1/2,-z'
'x,-y+1/2,z'
loop_
_atom_site_label
_atom_site_fract_x
_atom_site_fract_y
_atom_site_fract_z
Pr1 0.0292 0.1012 0.1779
Pr2 0.1226 0.6187 0.3407
Pr3 0.2089 0.2500 0.5025
Pb1 0.0746 0.2500 0.8783
Pb2 0.1624 0.7500 0.6456
Pb3 0.2191 0.0430 0.5335
```

Principal peaks in the range 5° ≤ 2θ ≤ 70°, low angle first:
28.42 deg, I = 1000, hkl 1 3 2; 28.59 deg, I = 421, hkl 2 3 1; 29.45 deg, I = 385, hkl 2 0 2; 30.19 deg, I = 282, hkl 0 4 2; 31.21 deg, I = 299, hkl 1 5 1; 32.16 deg, I = 573, hkl 2 4 1; 33.06 deg, I = 287, hkl 0 6 0; 33.27 deg, I = 914, hkl 3 0 1; 33.69 deg, I = 314, hkl 3 1 1; 43.27 deg, I = 277, hkl 1 5 3

***

[4]
This entry pairs a crystal structure of PrPb with its calculated powder X-ray diffraction pattern. Radiation: a wavelength of 1.5418 Å. Structure: a PBE-relaxed structure.
Intensities are scaled so that the largest is 1000.

Atomic structure:
```
data_PrPb
_chemical_formula_sum 'Pr4 Pb4'
_space_group_name_H-M_alt 'F m -3 m'
_space_group_IT_number 225
_space_group_name_Hall '-F 4 2 3'
_cell_length_a 6.5311
_cell_length_b 6.5311
_cell_length_c 6.5311
_cell_angle_alpha 90.00
_cell_angle_beta 90.00
_cell_angle_gamma 90.00
loop_
_atom_site_label
_atom_site_fract_x
_atom_site_fract_y
_atom_site_fract_z
Pr1 0.0000 0.0000 0.0000
Pb1 0.0000 0.0000 0.5000
```

Principal peaks in the range 5° ≤ 2θ ≤ 70°, low angle first:
23.59 deg, I = 58, hkl 1 1 1; 27.31 deg, I = 1000, hkl 2 0 0; 39.01 deg, I = 788, hkl 2 2 0; 46.09 deg, I = 35, hkl 3 1 1; 48.27 deg, I = 288, hkl 2 2 2; 56.35 deg, I = 137, hkl 4 0 0; 61.93 deg, I = 15, hkl 3 3 1; 63.73 deg, I = 379, hkl 4 2 0

***

[5]
This entry pairs a crystal structure of Pr3Pb4 with its calculated powder X-ray diffraction pattern. Radiation: a wavelength of 1.5418 Å. Structure: a PBE-relaxed structure.
Intensities are scaled so that the largest is 1000.

Atomic structure:
```
data_Pr3Pb4
_chemical_formula_sum 'Pr12 Pb16'
_space_group_name_H-M_alt 'C 1 m 1'
_space_group_IT_number 8
_cell_length_a 11.9830
_cell_length_b 4.6624
_cell_length_c 16.3337
_cell_angle_alpha 90.00
_cell_angle_beta 90.02
_cell_angle_gamma 90.00
loop_
_space_group_symop_operation_xyz
'x,y,z'
'x,-y,z'
'x+1/2,y+1/2,z'
'x+1/2,-y+1/2,z'
loop_
_atom_site_label
_atom_site_fract_x
_atom_site_fract_y
_atom_site_fract_z
Pr1 0.0000 0.0000 0.0000
Pr2 0.0002 0.0000 0.3062
Pr3 0.1056 0.5000 0.6536
Pr4 0.2305 0.5000 0.1525
Pr5 0.3353 0.0000 0.8068
Pr6 0.3372 0.0000 0.4992
Pb1 0.0427 0.0000 0.7943
Pb2 0.0465 0.0000 0.5122
Pb3 0.1655 0.5000 0.9015
Pb4 0.1678 0.5000 0.4033
Pb5 0.2902 0.0000 0.2938
Pb6 0.2905 0.0000 0.0114
Pb7 0.3708 0.5000 0.6520
Pb8 0.4644 0.0000 0.1529
```

Principal peaks in the range 5° ≤ 2θ ≤ 70°, low angle first:
18.37 deg, I = 132, hkl 2 0 -2; 29.45 deg, I = 386, hkl 3 1 0; 30.03 deg, I = 1000, hkl 1 1 4; 30.33 deg, I = 194, hkl 4 0 1; 31.46 deg, I = 319, hkl 3 1 -2; 33.83 deg, I = 352, hkl 3 1 -3; 36.91 deg, I = 132, hkl 3 1 4; 37.22 deg, I = 275, hkl 4 0 4; 38.62 deg, I = 334, hkl 0 2 0; 54.72 deg, I = 185, hkl 4 2 4

***

[6]
This entry pairs a crystal structure of PrPt5Pb with its calculated powder X-ray diffraction pattern. Radiation: a wavelength of 1.5418 Å. Structure: a PBE-relaxed structure.
Intensities are scaled so that the largest is 1000.

Atomic structure:
```
data_PrPt5Pb
_chemical_formula_sum 'Pr4 Pt20 Pb4'
_space_group_name_H-M_alt 'P n m a'
_space_group_IT_number 62
_cell_length_a 9.0533
_cell_length_b 5.4415
_cell_length_c 11.1483
_cell_angle_alpha 90.00
_cell_angle_beta 90.00
_cell_angle_gamma 90.00
loop_
_space_group_symop_operation_xyz
'x,y,z'
'-x,-y,-z'
'-x+1/2,-y,z+1/2'
'x+1/2,y,-z+1/2'
'x+1/2,-y+1/2,-z+1/2'
'-x+1/2,y+1/2,z+1/2'
'-x,y+1/2,-z'
'x,-y+1/2,z'
loop_
_atom_site_label
_atom_site_fract_x
_atom_site_fract_y
_atom_site_fract_z
Pr1 0.2480 0.2500 0.0627
Pt1 0.0418 0.2500 0.5876
Pt2 0.0694 0.5029 0.8008
Pt3 0.0742 0.7500 0.0116
Pt4 0.1882 0.7500 0.2364
Pb1 0.1453 0.2500 0.3601
```

Principal peaks in the range 5° ≤ 2θ ≤ 70°, low angle first:
34.94 deg, I = 923, hkl 3 1 1; 35.34 deg, I = 1000, hkl 2 1 3; 36.76 deg, I = 362, hkl 0 2 2; 37.71 deg, I = 350, hkl 3 1 2; 39.48 deg, I = 795, hkl 2 2 1; 40.68 deg, I = 649, hkl 4 0 1; 41.51 deg, I = 666, hkl 2 1 4; 41.72 deg, I = 684, hkl 1 0 5; 42.00 deg, I = 515, hkl 2 2 2; 42.37 deg, I = 732, hkl 1 2 3